# 1
# PuAu12
Computed X-ray powder pattern, Cu Kα, 1.54184 Å. Input: the PBE geometry in Alexandria.
Peak positions follow from Bragg's law for the DFT cell and can differ from measured ones.

Main lines, low angle first (2θ from 10° to 80°):
2θ (°)  intensity
32.3  47
37.0  78
37.6  100
37.8  65
41.7  76
42.5  37
60.3  26
67.7  34
68.1  26
78.7  25

```
data_PuAu12
_chemical_formula_sum 'Pu1 Au12'
_space_group_name_H-M_alt 'P 1'
_space_group_IT_number 1
_cell_length_a 7.303
_cell_length_b 7.303
_cell_length_c 7.303
_cell_angle_alpha 98.62
_cell_angle_beta 98.62
_cell_angle_gamma 134.44
loop_
_space_group_symop_operation_xyz
'x,y,z'
loop_
_atom_site_label
_atom_site_type_symbol
_atom_site_fract_x
_atom_site_fract_y
_atom_site_fract_z
Pu1 Pu 0.000 0.000 0.000
Au1 Au 0.000 0.000 0.500
Au2 Au 0.000 0.347 0.347
Au3 Au 0.000 0.500 0.000
Au4 Au 0.000 0.653 0.653
Au5 Au 0.286 0.500 0.786
Au6 Au 0.347 0.000 0.347
Au7 Au 0.500 0.000 0.000
Au8 Au 0.500 0.286 0.786
Au9 Au 0.500 0.500 0.500
Au10 Au 0.500 0.714 0.214
Au11 Au 0.653 0.000 0.653
Au12 Au 0.714 0.500 0.214
```

***

# 2
# LiMgZn6
Computed X-ray powder pattern, Cu Kα, 1.54184 Å. Input: the PBE geometry in Alexandria.
Peak positions follow from Bragg's law for the DFT cell and can differ from measured ones.

Main lines, low angle first (2θ from 10° to 80°):
2θ (°)  intensity
18.2  11
26.8  19
31.8  9
36.9  24
39.7  26
42.1  100
53.7  7
55.3  14
66.4  16
73.7  17

```
data_LiMgZn6
_chemical_formula_sum 'Li1 Mg1 Zn6'
_space_group_name_H-M_alt 'P 1'
_space_group_IT_number 1
_cell_length_a 5.629
_cell_length_b 5.629
_cell_length_c 4.542
_cell_angle_alpha 90.00
_cell_angle_beta 90.00
_cell_angle_gamma 120.00
loop_
_space_group_symop_operation_xyz
'x,y,z'
loop_
_atom_site_label
_atom_site_type_symbol
_atom_site_fract_x
_atom_site_fract_y
_atom_site_fract_z
Li1 Li 0.000 0.000 0.000
Mg1 Mg 0.333 0.667 0.500
Zn1 Zn 0.332 0.166 0.500
Zn2 Zn 0.506 0.011 0.000
Zn3 Zn 0.506 0.494 0.000
Zn4 Zn 0.834 0.166 0.500
Zn5 Zn 0.834 0.668 0.500
Zn6 Zn 0.989 0.494 0.000
```

***

# 3
# NdSi2Ru4
Computed X-ray powder pattern, Cu Kα, 1.54184 Å. Input: the PBE geometry in Alexandria.
Peak positions follow from Bragg's law for the DFT cell and can differ from measured ones.

Main lines, low angle first (2θ from 10° to 80°):
2θ (°)  intensity
23.5  12
35.1  100
37.5  46
40.9  40
44.4  33
46.7  25
49.5  16
55.2  15
61.4  22
66.1  21

```
data_NdSi2Ru4
_chemical_formula_sum 'Nd2 Si4 Ru8'
_space_group_name_H-M_alt 'P 1'
_space_group_IT_number 1
_cell_length_a 7.587
_cell_length_b 7.587
_cell_length_c 3.890
_cell_angle_alpha 90.00
_cell_angle_beta 90.00
_cell_angle_gamma 90.00
loop_
_space_group_symop_operation_xyz
'x,y,z'
loop_
_atom_site_label
_atom_site_type_symbol
_atom_site_fract_x
_atom_site_fract_y
_atom_site_fract_z
Nd1 Nd 0.000 0.000 0.000
Nd2 Nd 0.500 0.500 0.500
Si1 Si 0.219 0.219 0.500
Si2 Si 0.281 0.719 0.000
Si3 Si 0.719 0.281 0.000
Si4 Si 0.781 0.781 0.500
Ru1 Ru 0.078 0.658 0.500
Ru2 Ru 0.158 0.422 0.000
Ru3 Ru 0.342 0.922 0.500
Ru4 Ru 0.422 0.158 0.000
Ru5 Ru 0.578 0.842 0.000
Ru6 Ru 0.658 0.078 0.500
Ru7 Ru 0.842 0.578 0.000
Ru8 Ru 0.922 0.342 0.500
```